(1)
# Sm12HoTm5
Theoretical powder diffractogram, Cu Kα (weighted mean of Kα1 and Kα2). Input: the PBE geometry in Alexandria.
No peak broadening, texture or thermal motion is included.

Principal peaks in the range 2θ = 10–90°, in order of rising 2θ:
2θ/deg  intensity
30.6  100
35.4  34
35.5  17
50.9  12
51.0  24
60.5  29
60.7  14
63.6  12
83.1  12
85.6  8

Structural model:
```
18
Lattice="7.5801 -7.6104 0.0000 7.5801 7.6104 0.0000 0.0000 0.0000 5.0752" Properties=species:S:1:pos:R:3 pbc="T T T"
Sm 5.0789 5.0735 2.5376
Sm 2.4986 0.0000 0.0000
Sm 5.0728 2.5379 0.0000
Sm 10.0814 5.0735 2.5376
Sm 5.0693 0.0000 2.5376
Sm 10.0875 2.5379 0.0000
Sm 5.0728 -2.5379 0.0000
Sm 10.0910 0.0000 2.5376
Sm 5.0789 -5.0735 2.5376
Sm 10.0875 -2.5379 0.0000
Sm 12.6616 0.0000 0.0000
Sm 10.0814 -5.0735 2.5376
Ho 7.5801 0.0000 0.0000
Tm 0.0000 0.0000 2.5376
Tm 7.5801 5.0714 0.0000
Tm 7.5801 2.5380 2.5376
Tm 7.5801 -2.5380 2.5376
Tm 7.5801 -5.0714 0.0000
```

(2)
# Mg3Cu2Ag
Theoretical powder diffractogram, Cu Kα (weighted mean of Kα1 and Kα2). Input: the PBE geometry in Alexandria.
No peak broadening, texture or thermal motion is included.

Principal peaks in the range 2θ = 10–90°, in order of rising 2θ:
2θ/deg  intensity
25.7  22
28.7  33
38.9  100
41.1  44
49.1  14
52.9  9
59.5  14
69.1  15
73.4  28
83.6  9

Structural model:
```
6
Lattice="3.1084 0.0000 0.0000 0.0000 3.1084 0.0000 0.0000 0.0000 10.3849" Properties=species:S:1:pos:R:3 pbc="T T T"
Mg 0.0000 0.0000 0.0000
Mg 0.0000 0.0000 3.2641
Mg 0.0000 0.0000 7.1208
Cu 1.5542 1.5542 1.6212
Cu 1.5542 1.5542 8.7637
Ag 1.5542 1.5542 5.1924
```

(3)
# CdF
Theoretical powder diffractogram, Cu Kα (weighted mean of Kα1 and Kα2). Input: the PBE geometry in Alexandria.
No peak broadening, texture or thermal motion is included.

Principal peaks in the range 2θ = 10–90°, in order of rising 2θ:
2θ/deg  intensity
23.7  51
31.0  100
40.8  19
40.9  19
46.5  50
47.7  15
47.9  15
59.1  12
64.6  12
68.1  10

Structural model:
```
2
Lattice="0.0000 2.2142 3.7481 2.2048 0.0000 3.7481 2.2048 2.2142 0.0000" Properties=species:S:1:pos:R:3 pbc="T T T"
Cd 0.0000 0.0000 0.0000
F 2.2048 2.2142 2.5408
```